This entry pairs a crystal structure of YCu3Bi4O12 with its calculated X-ray powder pattern. Radiation: Cu Ka. Structure: DFT lattice parameters and positions (GGA-PBE).
Neutral-atom scattering factors, no anomalous dispersion.

Structural model:
a b c (Å): 7.1112 7.1112 7.1112
angles (deg): 109.47 109.47 109.47
Sites, in units of the cell vectors:
Y 0.0000 0.0000 0.0000
Cu 0.0000 0.5000 0.5000
Cu 0.5000 0.0000 0.5000
Cu 0.5000 0.5000 0.0000
Bi 0.0000 0.0000 0.5000
Bi 0.0000 0.5000 0.0000
Bi 0.5000 0.0000 0.0000
Bi 0.5000 0.5000 0.5000
O 0.1512 0.3106 0.4618
O 0.1512 0.6894 0.8406
O 0.1594 0.8488 0.3106
O 0.3106 0.1594 0.8488
O 0.3106 0.4618 0.1512
O 0.4618 0.1512 0.3106
O 0.5382 0.8488 0.6894
O 0.6894 0.5382 0.8488
O 0.6894 0.8406 0.1512
O 0.8406 0.1512 0.6894
O 0.8488 0.3106 0.1594
O 0.8488 0.6894 0.5382

Main lines, in order of falling intensity (10 to 90 degrees two-theta):
2θ/deg	I/Imax
30.80	1000
54.77	478
21.65	281
89.27	231
44.12	215
72.85	188
49.65	158
64.16	128
37.96	79
68.57	61
81.15	48
77.04	47



This entry pairs a crystal structure of PaCuBi2S6 with its calculated X-ray powder pattern. Radiation: Cu Ka. Structure: DFT lattice parameters and positions (GGA-PBE).
Neutral-atom scattering factors, no anomalous dispersion.

Structural model:
a b c (Å): 7.5368 7.5368 7.5368
angles (deg): 54.23 54.23 54.23
Sites, in units of the cell vectors:
Pa 0.0000 0.0000 0.0000
Cu 0.4253 0.4253 0.4253
Bi 0.1923 0.1923 0.1923
Bi 0.6805 0.6805 0.6805
S 0.1169 0.3786 0.7685
S 0.2595 0.8964 0.6209
S 0.3786 0.7685 0.1169
S 0.6209 0.2595 0.8964
S 0.7685 0.1169 0.3786
S 0.8964 0.6209 0.2595

Main lines, in order of falling intensity (10 to 90 degrees two-theta):
2θ/deg	I/Imax
25.94	1000
23.80	844
38.42	739
45.75	460
17.53	406
44.48	354
35.49	346
29.50	318
27.62	246
13.82	223
15.59	222
61.23	185



This entry pairs a crystal structure of Cu2Bi8Pb6S19 with its calculated X-ray powder pattern. Radiation: Cu Ka. Structure: DFT lattice parameters and positions (GGA-PBE).
Neutral-atom scattering factors, no anomalous dispersion.

Structural model:
a b c (Å): 4.0709 14.2255 16.0431
angles (deg): 90.20 97.27 98.22
Sites, in units of the cell vectors:
Cu 0.0386 0.4872 0.0875
Cu 0.9614 0.5128 0.9125
Bi 0.2020 0.3690 0.5350
Bi 0.2803 0.9561 0.1049
Bi 0.3938 0.2520 0.0369
Bi 0.4098 0.6097 0.7104
Bi 0.5902 0.3903 0.2896
Bi 0.6062 0.7480 0.9631
Bi 0.7197 0.0439 0.8951
Bi 0.7980 0.6310 0.4650
Pb 0.0125 0.8691 0.6562
Pb 0.1894 0.6508 0.2277
Pb 0.3987 0.8857 0.4119
Pb 0.6013 0.1143 0.5881
Pb 0.8106 0.3492 0.7723
Pb 0.9875 0.1309 0.3438
S 0.0000 0.0000 0.5000
S 0.0035 0.2846 0.2216
S 0.0726 0.6337 0.0108
S 0.1712 0.9080 0.9344
S 0.1972 0.5192 0.3748
S 0.2068 0.2521 0.6617
S 0.2823 0.1842 0.8807
S 0.3897 0.7305 0.5489
S 0.3970 0.0175 0.2763
S 0.4151 0.4919 0.8396
S 0.5849 0.5081 0.1604
S 0.6030 0.9825 0.7237
S 0.6103 0.2695 0.4511
S 0.7177 0.8158 0.1193
S 0.7932 0.7479 0.3383
S 0.8028 0.4808 0.6252
S 0.8288 0.0920 0.0656
S 0.9274 0.3663 0.9892
S 0.9965 0.7154 0.7784

Main lines, in order of falling intensity (10 to 90 degrees two-theta):
2θ/deg	I/Imax
30.69	1000
23.37	835
25.23	776
26.05	513
43.19	398
44.51	396
25.06	391
29.11	376
42.42	351
28.44	320
27.15	311
50.87	264



This entry pairs a crystal structure of CuBi3PbS6 with its calculated X-ray powder pattern. Radiation: Cu Ka. Structure: DFT lattice parameters and positions (GGA-PBE).
Neutral-atom scattering factors, no anomalous dispersion.

Structural model:
a b c (Å): 4.0449 11.1719 11.8653
angles (deg): 90.00 90.00 90.00
Sites, in units of the cell vectors:
Cu 0.0000 0.0439 0.0000
Cu 0.0000 0.9561 0.5000
Bi 0.0000 0.4253 0.2874
Bi 0.0000 0.5747 0.7874
Bi 0.5000 0.0705 0.2539
Bi 0.5000 0.2841 0.9158
Bi 0.5000 0.7159 0.4158
Bi 0.5000 0.9295 0.7539
Pb 0.0000 0.2403 0.5926
Pb 0.0000 0.7597 0.0926
S 0.0000 0.1184 0.8173
S 0.0000 0.1914 0.1479
S 0.0000 0.4406 0.9773
S 0.0000 0.5594 0.4773
S 0.0000 0.8086 0.6479
S 0.0000 0.8816 0.3173
S 0.5000 0.0474 0.5534
S 0.5000 0.3004 0.3885
S 0.5000 0.3915 0.7191
S 0.5000 0.6085 0.2191
S 0.5000 0.6996 0.8885
S 0.5000 0.9526 0.0534

Main lines, in order of falling intensity (10 to 90 degrees two-theta):
2θ/deg	I/Imax
23.87	1000
28.26	918
31.19	918
25.06	787
27.86	591
34.23	516
24.58	458
45.65	441
21.85	439
51.41	434
33.57	413
44.81	406



This entry pairs a crystal structure of CuBi3PbS6 with its calculated X-ray powder pattern. Radiation: Cu Ka. Structure: DFT lattice parameters and positions (GGA-PBE).
Neutral-atom scattering factors, no anomalous dispersion.

Structural model:
a b c (Å): 4.0498 11.7324 11.2635
angles (deg): 90.00 90.00 90.00
Sites, in units of the cell vectors:
Cu 0.0000 0.0090 0.0000
Cu 0.5000 0.9910 0.5000
Bi 0.0000 0.2446 0.5290
Bi 0.0000 0.4058 0.1825
Bi 0.0000 0.7222 0.3838
Bi 0.5000 0.2778 0.8838
Bi 0.5000 0.5942 0.6825
Bi 0.5000 0.7554 0.0290
Pb 0.0000 0.9140 0.7265
Pb 0.5000 0.0860 0.2265
S 0.0000 0.0354 0.4126
S 0.0000 0.2029 0.0610
S 0.0000 0.3774 0.7562
S 0.0000 0.5378 0.5214
S 0.0000 0.7015 0.8340
S 0.0000 0.8635 0.1469
S 0.5000 0.1365 0.6469
S 0.5000 0.2985 0.3340
S 0.5000 0.4622 0.0214
S 0.5000 0.6226 0.2562
S 0.5000 0.7971 0.5610
S 0.5000 0.9646 0.9126

Main lines, in order of falling intensity (10 to 90 degrees two-theta):
2θ/deg	I/Imax
24.09	1000
31.18	976
28.19	921
24.90	867
27.92	624
45.58	599
34.48	578
24.56	536
33.43	466
21.88	445
44.76	433
46.50	422



This entry pairs a crystal structure of Cu4Bi5PbS11 with its calculated X-ray powder pattern. Radiation: Cu Ka. Structure: DFT lattice parameters and positions (GGA-PBE).
Neutral-atom scattering factors, no anomalous dispersion.

Structural model:
a b c (Å): 9.2161 9.2161 27.4021
angles (deg): 92.22 92.22 24.55
Sites, in units of the cell vectors:
Cu 0.0109 0.0109 0.2709
Cu 0.1337 0.1337 0.9226
Cu 0.2006 0.2006 0.2813
Cu 0.2938 0.2938 0.4764
Cu 0.7062 0.7062 0.5236
Cu 0.7994 0.7994 0.7187
Cu 0.8663 0.8663 0.0774
Cu 0.9891 0.9891 0.7291
Bi 0.1262 0.1262 0.6472
Bi 0.1850 0.1850 0.0531
Bi 0.3354 0.3354 0.2065
Bi 0.3717 0.3717 0.6010
Bi 0.4408 0.4408 0.8448
Bi 0.5592 0.5592 0.1552
Bi 0.6283 0.6283 0.3990
Bi 0.6646 0.6646 0.7935
Bi 0.8150 0.8150 0.9469
Bi 0.8738 0.8738 0.3528
Pb 0.0000 0.0000 0.5000
Pb 0.5000 0.5000 0.0000
S 0.0409 0.0409 0.0742
S 0.0937 0.0937 0.8439
S 0.1027 0.1027 0.3329
S 0.1076 0.1076 0.2160
S 0.1615 0.1615 0.4868
S 0.2304 0.2304 0.7221
S 0.2927 0.2927 0.3927
S 0.2992 0.2992 0.8778
S 0.3461 0.3461 0.0337
S 0.4424 0.4424 0.2742
S 0.4893 0.4893 0.4199
S 0.5107 0.5107 0.5801
S 0.5576 0.5576 0.7258
S 0.6539 0.6539 0.9663
S 0.7008 0.7008 0.1222
S 0.7073 0.7073 0.6073
S 0.7696 0.7696 0.2779
S 0.8385 0.8385 0.5132
S 0.8924 0.8924 0.7840
S 0.8973 0.8973 0.6671
S 0.9063 0.9063 0.1561
S 0.9591 0.9591 0.9258

Main lines, in order of falling intensity (10 to 90 degrees two-theta):
2θ/deg	I/Imax
28.56	1000
24.10	708
28.72	528
32.87	483
27.31	408
46.33	398
27.51	383
25.14	355
46.07	274
14.09	263
51.99	254
42.54	244



This entry pairs a crystal structure of CuBi3PbS6 with its calculated X-ray powder pattern. Radiation: Cu Ka. Structure: DFT lattice parameters and positions (GGA-PBE).
Neutral-atom scattering factors, no anomalous dispersion.

Structural model:
a b c (Å): 4.0473 11.3687 11.8682
angles (deg): 90.00 90.00 90.00
Sites, in units of the cell vectors:
Cu 0.0000 0.0426 0.0000
Cu 0.0000 0.9574 0.5000
Bi 0.0000 0.2337 0.6228
Bi 0.0000 0.4245 0.2907
Bi 0.0000 0.5755 0.7907
Bi 0.0000 0.7663 0.1228
Bi 0.5000 0.0739 0.2420
Bi 0.5000 0.9261 0.7420
Pb 0.5000 0.2906 0.9371
Pb 0.5000 0.7094 0.4371
S 0.0000 0.1007 0.8075
S 0.0000 0.1933 0.1341
S 0.0000 0.4553 0.9771
S 0.0000 0.5447 0.4771
S 0.0000 0.8067 0.6341
S 0.0000 0.8993 0.3075
S 0.5000 0.0532 0.5440
S 0.5000 0.2982 0.3769
S 0.5000 0.3725 0.7101
S 0.5000 0.6275 0.2101
S 0.5000 0.7018 0.8769
S 0.5000 0.9468 0.0440

Main lines, in order of falling intensity (10 to 90 degrees two-theta):
2θ/deg	I/Imax
31.03	1000
23.81	940
28.09	927
24.66	813
27.81	588
34.09	519
45.22	468
24.52	464
51.38	461
44.79	433
21.65	339
33.26	310



This entry pairs a crystal structure of Cu2Bi8Pb3Se3S13 with its calculated X-ray powder pattern. Radiation: Cu Ka. Structure: DFT lattice parameters and positions (GGA-PBE).
Neutral-atom scattering factors, no anomalous dispersion.

Structural model:
a b c (Å): 13.8551 13.8551 16.8387
angles (deg): 125.46 125.46 16.91
Sites, in units of the cell vectors:
Cu 0.0000 0.0000 0.0000
Cu 0.0971 0.0971 0.9793
Bi 0.2291 0.2291 0.4742
Bi 0.3601 0.3601 0.9656
Bi 0.3977 0.3977 0.2558
Bi 0.4094 0.4094 0.7550
Bi 0.6874 0.6874 0.2242
Bi 0.6987 0.6987 0.7197
Bi 0.7364 0.7364 0.0106
Bi 0.8692 0.8692 0.5044
Pb 0.0150 0.0150 0.2052
Pb 0.0483 0.0483 0.4818
Pb 0.0807 0.0807 0.7741
Se 0.2618 0.2618 0.1485
Se 0.5712 0.5712 0.6333
Se 0.8349 0.8349 0.8279
S 0.1084 0.1084 0.1255
S 0.1839 0.1839 0.5974
S 0.2088 0.2088 0.8585
S 0.2816 0.2816 0.3789
S 0.4436 0.4436 0.6373
S 0.4751 0.4751 0.0379
S 0.5188 0.5188 0.3327
S 0.6217 0.6217 0.9409
S 0.6536 0.6536 0.3423
S 0.8166 0.8166 0.5989
S 0.8864 0.8864 0.1164
S 0.9154 0.9154 0.3802
S 0.9886 0.9886 0.8535

Main lines, in order of falling intensity (10 to 90 degrees two-theta):
2θ/deg	I/Imax
30.71	1000
22.86	695
26.14	493
24.94	476
24.05	475
27.56	459
44.46	451
43.10	429
28.82	342
42.14	320
43.93	282
43.50	269



Q: Which formula does entry 1 have?
A: YCu3Bi4O12